(1)
# La4SiSbN
Computed powder diffractogram, λ = 1.5418 Å (Cu Kα). Input: a crystal structure in Alexandria, relaxed with PBE.
Kinematic intensities with the Lorentz-polarization factor, no thermal factor.

Main lines, by intensity (10° ≤ 2θ ≤ 90°):
2θ/deg	I (rel.)
28.10	100.0
33.50	71.9
37.22	59.1
49.32	37.9
31.19	34.0
31.93	21.9
61.66	21.9
64.75	21.2
53.65	20.3
63.38	17.5

Atomic structure:
```
La4SiSbN
1.0
3.419 -8.603 0.000
3.419 8.603 0.000
0.000 0.000 6.828
La Si Sb N
8 2 2 2
Direct
0.000 0.500 0.000
0.000 0.500 0.500
0.065 0.935 0.750
0.417 0.583 0.750
0.500 0.000 0.000
0.500 0.000 0.500
0.583 0.417 0.250
0.935 0.065 0.250
0.115 0.885 0.250
0.885 0.115 0.750
0.391 0.609 0.250
0.609 0.391 0.750
0.279 0.721 0.750
0.721 0.279 0.250
```

---

(2)
# AcHgBi2Pd
Computed powder diffractogram, λ = 1.5418 Å (Cu Kα). Input: a crystal structure in Alexandria, relaxed with PBE.
Kinematic intensities with the Lorentz-polarization factor, no thermal factor.

Main lines, by intensity (10° ≤ 2θ ≤ 90°):
2θ/deg	I (rel.)
28.35	100.0
34.96	46.3
37.79	41.9
58.72	32.2
45.57	20.1
50.28	16.9
64.57	15.4
14.04	15.3
64.40	11.6
85.92	11.1

Atomic structure:
```
AcHgBi2Pd
1.0
5.133 0.000 0.000
0.000 5.133 0.000
0.000 0.000 6.310
Ac Hg Bi Pd
1 1 2 1
Direct
0.000 0.000 0.000
0.500 0.500 0.061
0.000 0.500 0.408
0.500 0.000 0.408
0.000 0.000 0.562
```

---

(3)
# CeNb2InO6
Computed powder diffractogram, λ = 1.5418 Å (Cu Kα). Input: a crystal structure in Alexandria, relaxed with PBE.
Kinematic intensities with the Lorentz-polarization factor, no thermal factor.

Main lines, by intensity (10° ≤ 2θ ≤ 90°):
2θ/deg	I (rel.)
30.93	100.0
31.17	52.4
55.32	41.5
44.66	29.5
54.87	21.2
64.47	18.2
43.97	16.2
89.51	11.0
73.85	9.5
72.71	8.6

Atomic structure:
```
CeNb2InO6
1.0
-2.869 2.869 4.119
2.869 -2.869 4.119
2.869 2.869 -4.119
Ce Nb In O
1 2 1 6
Direct
0.000 0.000 0.000
0.250 0.750 0.500
0.750 0.250 0.500
0.500 0.500 0.000
0.000 0.500 0.500
0.031 0.447 0.000
0.447 0.031 0.000
0.500 0.000 0.500
0.553 0.553 0.584
0.969 0.969 0.416
```

---

(4)
# Pm3SmSc6
Computed powder diffractogram, λ = 1.5418 Å (Cu Kα). Input: a crystal structure in Alexandria, relaxed with PBE.
Kinematic intensities with the Lorentz-polarization factor, no thermal factor.

Main lines, by intensity (10° ≤ 2θ ≤ 90°):
2θ/deg	I (rel.)
31.90	100.0
18.33	41.7
26.90	36.8
27.47	36.2
34.13	31.5
31.31	27.1
37.59	21.2
30.20	21.0
40.87	18.9
45.46	18.6

Atomic structure:
```
Pm3SmSc6
1.0
5.919 -7.881 0.000
5.919 7.881 0.000
0.000 0.000 6.130
Pm Sm Sc
6 2 12
Direct
0.091 0.909 0.500
0.222 0.379 0.020
0.379 0.222 0.520
0.621 0.778 0.020
0.778 0.621 0.520
0.909 0.091 0.000
0.293 0.707 0.311
0.707 0.293 0.811
0.043 0.236 0.501
0.044 0.523 0.637
0.236 0.043 0.001
0.256 0.744 0.853
0.445 0.555 0.642
0.477 0.956 0.637
0.523 0.044 0.137
0.555 0.445 0.142
0.744 0.256 0.353
0.764 0.957 0.501
0.956 0.477 0.137
0.957 0.764 0.001
```

---

(5)
# Dy3Tm12Th
Computed powder diffractogram, λ = 1.5418 Å (Cu Kα). Input: a crystal structure in Alexandria, relaxed with PBE.
Kinematic intensities with the Lorentz-polarization factor, no thermal factor.

Main lines, by intensity (10° ≤ 2θ ≤ 90°):
2θ/deg	I (rel.)
31.25	100.0
36.25	50.6
62.10	42.8
52.19	36.0
85.36	18.1
65.20	12.3
88.10	11.3
88.22	5.7
76.89	3.9
77.03	1.9

Atomic structure:
```
Dy3Tm12Th
1.0
4.959 0.000 0.000
0.000 4.959 0.000
0.000 0.000 19.807
Dy Tm Th
3 12 1
Direct
0.000 0.000 0.000
0.000 0.000 0.250
0.000 0.000 0.750
0.000 0.500 0.125
0.000 0.500 0.376
0.000 0.500 0.624
0.000 0.500 0.875
0.500 0.000 0.125
0.500 0.000 0.376
0.500 0.000 0.624
0.500 0.000 0.875
0.500 0.500 0.000
0.500 0.500 0.249
0.500 0.500 0.500
0.500 0.500 0.751
0.000 0.000 0.500
```